Starting from the GGA+U geometry in Alexandria, the X-ray diffraction stick pattern of NaLi2FePCO7 was calculated for Cu Kα, 1.54184 Å.

Top 6 peaks for 2θ from 15° to 90°, sorted by position:
| Position (°2θ) | intensity |
| --- | --- |
| 16.97 | 33.3 |
| 21.22 | 57.5 |
| 25.70 | 37.1 |
| 27.06 | 100.0 |
| 35.67 | 43.6 |
| 40.21 | 37.6 |

Atomic structure:
a = 5.1258 Å, b = 6.5915 Å, c = 8.6168 Å
α = 90.00°, β = 96.13°, γ = 90.00°
Atoms (fractional coordinates):
Na 0.2274 0.0000 0.2676
Na 0.7726 0.5000 0.7324
Li 0.2239 0.5289 0.2756
Li 0.2983 0.2538 0.8975
Li 0.7017 0.7538 0.1025
Li 0.7761 0.0289 0.7244
Fe 0.2873 0.7724 0.6645
Fe 0.7127 0.2724 0.3355
P 0.2320 0.2654 0.5914
P 0.7680 0.7654 0.4086
C 0.1718 0.7628 0.9565
C 0.8282 0.2628 0.0435
O 0.0010 0.7873 0.8333
O 0.0718 0.7370 0.4368
O 0.0916 0.7400 0.0927
O 0.2979 0.4543 0.6980
O 0.3460 0.2813 0.4338
O 0.3547 0.0853 0.6931
O 0.4184 0.7613 0.9353
O 0.5816 0.2613 0.0647
O 0.6453 0.5853 0.3069
O 0.6540 0.7813 0.5662
O 0.7021 0.9543 0.3020
O 0.9084 0.2400 0.9073
O 0.9282 0.2370 0.5632
O 0.9990 0.2873 0.1667